Record 1
Computed XRD peak list of MnV6Mo5 for Cu Kα X-rays, from the GGA-PBE geometry in Alexandria.
Peak positions follow from Bragg's law for the DFT cell and can differ from measured ones.

Atomic structure:
```
MnV6Mo5
1.0
-2.1505 3.0421 6.4722
2.1505 -3.0421 6.4722
2.1505 3.0421 -6.4722
Mn V Mo
1 6 5
direct
0.0000 0.0000 0.0000 Mn
0.0833 0.8359 0.2474 V
0.2447 0.5000 0.7447 V
0.4114 0.1641 0.2474 V
0.5886 0.8359 0.7526 V
0.7553 0.5000 0.2553 V
0.9167 0.1641 0.7526 V
0.1644 0.6644 0.5000 Mo
0.3334 0.3334 0.0000 Mo
0.5000 0.0000 0.5000 Mo
0.6666 0.6666 0.0000 Mo
0.8356 0.3356 0.5000 Mo
```

Largest 8 diffraction maxima, in order of rising 2θ, 2θ from 10° to 80°:
| d_spacing | two_theta | Rel. int. |
| --- | --- | --- |
| 3.045 | 29.3 | 13.5 |
| 2.153 | 42.0 | 100.0 |
| 2.151 | 42.0 | 20.0 |
| 1.760 | 52.0 | 1.9 |
| 1.522 | 60.8 | 18.6 |
| 1.361 | 69.0 | 4.3 |
| 1.245 | 76.5 | 12.3 |
| 1.242 | 76.7 | 24.7 |

Record 2
Computed XRD peak list of Mn4V3Mo for Cu Kα X-rays, from the GGA-PBE geometry in Alexandria.
Peak positions follow from Bragg's law for the DFT cell and can differ from measured ones.

Atomic structure:
```
Mn4V3Mo
1.0
2.9085 0.0000 0.0000
0.0000 4.1138 0.0000
0.0000 0.0000 8.2101
Mn V Mo
4 3 1
direct
0.0000 0.0000 0.0000 Mn
0.0000 0.0000 0.5000 Mn
0.0000 0.5000 0.2441 Mn
0.0000 0.5000 0.7559 Mn
0.5000 0.0000 0.2446 V
0.5000 0.0000 0.7554 V
0.5000 0.5000 0.0000 V
0.5000 0.5000 0.5000 Mo
```

Largest 8 diffraction maxima, in order of rising 2θ, 2θ from 10° to 80°:
| d_spacing | two_theta | Rel. int. |
| --- | --- | --- |
| 8.210 | 10.8 | 3.5 |
| 4.109 | 21.6 | 2.3 |
| 3.678 | 24.2 | 1.7 |
| 2.739 | 32.7 | 1.7 |
| 2.374 | 37.9 | 1.1 |
| 2.281 | 39.5 | 1.8 |
| 2.055 | 44.1 | 100.0 |
| 1.453 | 64.1 | 14.9 |

Record 3
Computed XRD peak list of MnV5Mo6 for Cu Kα X-rays, from the GGA-PBE geometry in Alexandria.
Peak positions follow from Bragg's law for the DFT cell and can differ from measured ones.

Atomic structure:
```
MnV5Mo6
1.0
-2.1605 3.0560 6.5063
2.1605 -3.0560 6.5063
2.1605 3.0560 -6.5063
Mn V Mo
1 5 6
direct
0.0000 0.0000 0.0000 Mn
0.1659 0.6659 0.5000 V
0.3335 0.3335 0.0000 V
0.5000 0.0000 0.5000 V
0.6665 0.6665 0.0000 V
0.8341 0.3341 0.5000 V
0.0835 0.8348 0.2487 Mo
0.2481 0.5000 0.7481 Mo
0.4139 0.1652 0.2487 Mo
0.5861 0.8348 0.7513 Mo
0.7519 0.5000 0.2519 Mo
0.9165 0.1652 0.7513 Mo
```

Largest 8 diffraction maxima, in order of rising 2θ, 2θ from 10° to 80°:
| d_spacing | two_theta | Rel. int. |
| --- | --- | --- |
| 3.060 | 29.2 | 15.8 |
| 2.169 | 41.6 | 20.2 |
| 2.162 | 41.8 | 100.0 |
| 1.531 | 60.5 | 12.6 |
| 1.528 | 60.6 | 6.2 |
| 1.251 | 76.1 | 12.6 |
| 1.248 | 76.3 | 18.8 |
| 1.248 | 76.3 | 6.2 |

Record 4
Computed XRD peak list of MnMo2W for Cu Kα X-rays, from the GGA-PBE geometry in Alexandria.
Peak positions follow from Bragg's law for the DFT cell and can differ from measured ones.

Atomic structure:
```
MnMo2W
1.0
2.6920 0.0000 0.0000
0.0000 4.4011 0.0000
-0.8833 0.0000 5.0724
Mn Mo W
1 2 1
direct
0.0000 0.0000 0.0000 Mn
0.2557 0.5000 0.7541 Mo
0.7443 0.5000 0.2459 Mo
0.5000 0.0000 0.5000 W
```

Largest 8 diffraction maxima, in order of rising 2θ, 2θ from 10° to 80°:
| d_spacing | two_theta | Rel. int. |
| --- | --- | --- |
| 5.072 | 17.5 | 10.4 |
| 3.324 | 26.8 | 9.1 |
| 2.198 | 41.1 | 100.0 |
| 1.693 | 54.2 | 2.8 |
| 1.556 | 59.4 | 11.0 |
| 1.551 | 59.6 | 5.4 |
| 1.270 | 74.8 | 22.1 |
| 1.268 | 74.9 | 11.0 |

Record 5
Computed XRD peak list of Mn2MoW for Cu Kα X-rays, from the GGA-PBE geometry in Alexandria.
Peak positions follow from Bragg's law for the DFT cell and can differ from measured ones.

Atomic structure:
```
Mn2MoW
1.0
-1.5642 2.1543 4.1155
1.5642 -2.1543 4.1155
1.5642 2.1543 -4.1155
Mn Mo W
2 1 1
direct
0.2501 0.2501 0.0000 Mn
0.7499 0.7499 0.0000 Mn
0.5000 0.0000 0.5000 Mo
0.0000 0.5000 0.5000 W
```

Largest 8 diffraction maxima, in order of rising 2θ, 2θ from 10° to 80°:
| d_spacing | two_theta | Rel. int. |
| --- | --- | --- |
| 4.116 | 21.6 | 19.8 |
| 3.817 | 23.3 | 8.0 |
| 2.531 | 35.5 | 11.6 |
| 2.156 | 41.9 | 100.0 |
| 2.058 | 44.0 | 17.3 |
| 1.488 | 62.4 | 13.1 |
| 1.245 | 76.6 | 19.5 |
| 1.206 | 79.5 | 12.4 |

Record 6
Computed XRD peak list of MnMo2W for Cu Kα X-rays, from the GGA-PBE geometry in Alexandria.
Peak positions follow from Bragg's law for the DFT cell and can differ from measured ones.

Atomic structure:
```
MnMo2W
1.0
1.5792 -2.2022 0.0000
1.5792 2.2022 0.0000
0.0000 0.0000 8.5933
Mn Mo W
1 2 1
direct
0.0000 0.0000 0.0000 Mn
0.0000 0.0000 0.5014 Mo
0.5000 0.5000 0.7640 Mo
0.5000 0.5000 0.2375 W
```

Largest 8 diffraction maxima, in order of rising 2θ, 2θ from 10° to 80°:
| d_spacing | two_theta | Rel. int. |
| --- | --- | --- |
| 8.593 | 10.3 | 18.9 |
| 4.297 | 20.7 | 9.0 |
| 2.203 | 41.0 | 100.0 |
| 2.148 | 42.1 | 17.5 |
| 1.579 | 58.4 | 7.0 |
| 1.538 | 60.2 | 11.9 |
| 1.272 | 74.6 | 19.5 |
| 1.251 | 76.1 | 10.9 |

Record 7
Computed XRD peak list of MnMo2W for Cu Kα X-rays, from the GGA-PBE geometry in Alexandria.
Peak positions follow from Bragg's law for the DFT cell and can differ from measured ones.

Atomic structure:
```
MnMo2W
1.0
1.5816 -2.2015 0.0000
1.5816 2.2015 0.0000
0.0000 0.0000 8.5919
Mn Mo W
1 2 1
direct
0.0000 0.0000 0.0000 Mn
0.5000 0.5000 0.2362 Mo
0.5000 0.5000 0.7638 Mo
0.0000 0.0000 0.5000 W
```

Largest 8 diffraction maxima, in order of rising 2θ, 2θ from 10° to 80°:
| d_spacing | two_theta | Rel. int. |
| --- | --- | --- |
| 8.592 | 10.3 | 31.0 |
| 2.461 | 36.5 | 12.0 |
| 2.204 | 40.9 | 100.0 |
| 2.148 | 42.1 | 17.7 |
| 1.582 | 58.3 | 7.0 |
| 1.537 | 60.2 | 12.0 |
| 1.272 | 74.6 | 14.2 |
| 1.251 | 76.1 | 11.3 |

Record 8
Computed XRD peak list of MnN for Cu Kα X-rays, from the GGA-PBE geometry in Alexandria.
Peak positions follow from Bragg's law for the DFT cell and can differ from measured ones.

Atomic structure:
```
MnN
1.0
1.5942 -2.9786 0.0000
1.5942 2.9786 0.0000
0.0000 0.0000 3.8692
Mn N
2 2
direct
0.2028 0.7972 0.7500 Mn
0.7972 0.2028 0.2500 Mn
0.1315 0.8685 0.2500 N
0.8685 0.1315 0.7500 N
```

Largest 8 diffraction maxima, in order of rising 2θ, 2θ from 10° to 80°:
| d_spacing | two_theta | Rel. int. |
| --- | --- | --- |
| 2.979 | 30.0 | 64.7 |
| 2.811 | 31.8 | 32.3 |
| 2.274 | 39.6 | 100.0 |
| 1.935 | 47.0 | 35.5 |
| 1.686 | 54.4 | 26.1 |
| 1.622 | 56.7 | 18.4 |
| 1.594 | 57.8 | 26.3 |
| 1.545 | 59.9 | 24.3 |

Record 9
Computed XRD peak list of Mn5N4 for Cu Kα X-rays, from the GGA-PBE geometry in Alexandria.
Peak positions follow from Bragg's law for the DFT cell and can differ from measured ones.

Atomic structure:
```
Mn5N4
1.0
-3.9337 3.9337 1.4522
3.9337 -3.9337 1.4522
3.9337 3.9337 -1.4522
Mn N
5 4
direct
0.0000 0.0000 0.0000 Mn
0.2626 0.3926 0.6552 Mn
0.3926 0.7374 0.1300 Mn
0.6074 0.2626 0.8700 Mn
0.7374 0.6074 0.3448 Mn
0.0673 0.2416 0.3089 N
0.2416 0.9327 0.1743 N
0.7584 0.0673 0.8257 N
0.9327 0.7584 0.6911 N
```

Largest 8 diffraction maxima, in order of rising 2θ, 2θ from 10° to 80°:
| d_spacing | two_theta | Rel. int. |
| --- | --- | --- |
| 5.563 | 15.9 | 54.6 |
| 2.488 | 36.1 | 45.9 |
| 2.240 | 40.3 | 100.0 |
| 1.946 | 46.7 | 21.0 |
| 1.759 | 52.0 | 32.7 |
| 1.745 | 52.5 | 31.7 |
| 1.452 | 64.1 | 10.6 |
| 1.383 | 67.7 | 10.2 |

Record 10
Computed XRD peak list of MnN for Cu Kα X-rays, from the GGA-PBE geometry in Alexandria.
Peak positions follow from Bragg's law for the DFT cell and can differ from measured ones.

Atomic structure:
```
MnN
1.0
2.9662 0.0000 0.0000
-1.4831 2.5688 0.0000
0.0000 0.0000 5.2068
Mn N
2 2
direct
0.3333 0.6667 0.0000 Mn
0.6667 0.3333 0.5000 Mn
0.3333 0.6667 0.6431 N
0.6667 0.3333 0.1431 N
```

Largest 8 diffraction maxima, in order of rising 2θ, 2θ from 10° to 80°:
| d_spacing | two_theta | Rel. int. |
| --- | --- | --- |
| 2.603 | 34.4 | 39.9 |
| 2.569 | 34.9 | 46.8 |
| 2.304 | 39.1 | 100.0 |
| 1.829 | 49.9 | 19.4 |
| 1.483 | 62.6 | 27.3 |
| 1.438 | 64.8 | 35.5 |
| 1.289 | 73.5 | 21.7 |
| 1.247 | 76.4 | 12.3 |

Record 11
Computed XRD peak list of Na3Mn2N4 for Cu Kα X-rays, from the GGA-PBE geometry in Alexandria.
Peak positions follow from Bragg's law for the DFT cell and can differ from measured ones.

Atomic structure:
```
Na3Mn2N4
1.0
5.3054 -4.0708 0.0000
5.3054 4.0708 0.0000
-0.3188 0.0000 5.3977
Na Mn N
6 4 8
direct
0.0997 0.9003 0.7500 Na
0.2482 0.5328 0.4567 Na
0.4672 0.7518 0.0433 Na
0.5328 0.2482 0.9567 Na
0.7518 0.4672 0.5433 Na
0.9003 0.0997 0.2500 Na
0.0927 0.3319 0.9291 Mn
0.3319 0.0927 0.4291 Mn
0.6681 0.9073 0.5709 Mn
0.9073 0.6681 0.0709 Mn
0.1333 0.2322 0.6234 N
0.1778 0.5668 0.9821 N
0.2322 0.1333 0.1234 N
0.4332 0.8222 0.5179 N
0.5668 0.1778 0.4821 N
0.7678 0.8667 0.8766 N
0.8222 0.4332 0.0179 N
0.8667 0.7678 0.3766 N
```

Largest 8 diffraction maxima, in order of rising 2θ, 2θ from 10° to 80°:
| d_spacing | two_theta | Rel. int. |
| --- | --- | --- |
| 5.296 | 16.7 | 100.0 |
| 4.216 | 21.1 | 53.9 |
| 4.069 | 21.8 | 43.8 |
| 2.846 | 31.4 | 63.5 |
| 2.727 | 32.8 | 93.2 |
| 2.699 | 33.2 | 30.2 |
| 2.050 | 44.2 | 44.4 |
| 2.023 | 44.8 | 47.2 |

Record 12
Computed XRD peak list of Na7MnN3 for Cu Kα X-rays, from the GGA-PBE geometry in Alexandria.
Peak positions follow from Bragg's law for the DFT cell and can differ from measured ones.

Atomic structure:
```
Na7MnN3
1.0
5.9266 -3.3882 0.0000
5.9266 3.3882 0.0000
-5.7087 0.0000 6.0758
Na Mn N
7 1 3
direct
0.0000 0.0000 0.0000 Na
0.0485 0.5390 0.0957 Na
0.1254 0.6289 0.5936 Na
0.5336 0.5336 0.0657 Na
0.5390 0.0485 0.0957 Na
0.6289 0.1254 0.5936 Na
0.6388 0.6388 0.6218 Na
0.2083 0.2083 0.7515 Mn
0.0873 0.0873 0.7923 N
0.0913 0.5188 0.8079 N
0.5188 0.0913 0.8079 N
```

Largest 8 diffraction maxima, in order of rising 2θ, 2θ from 10° to 80°:
| d_spacing | two_theta | Rel. int. |
| --- | --- | --- |
| 6.076 | 14.6 | 100.0 |
| 5.332 | 16.6 | 24.8 |
| 5.258 | 16.9 | 34.0 |
| 2.700 | 33.2 | 27.7 |
| 2.666 | 33.6 | 73.1 |
| 2.628 | 34.1 | 79.4 |
| 2.132 | 42.4 | 28.2 |
| 1.706 | 53.7 | 27.5 |

Record 13
Computed XRD peak list of Na2NpMnN4 for Cu Kα X-rays, from the GGA-PBE geometry in Alexandria.
Peak positions follow from Bragg's law for the DFT cell and can differ from measured ones.

Atomic structure:
```
Na2NpMnN4
1.0
6.3820 0.0000 0.0000
0.0000 7.3661 0.0000
0.0000 0.0000 4.8019
Na Np Mn N
4 2 2 8
direct
0.2384 0.1279 0.0000 Na
0.2616 0.8721 0.5000 Na
0.7384 0.8721 0.5000 Na
0.7616 0.1279 0.0000 Na
0.0000 0.3941 0.5079 Np
0.5000 0.6059 0.0079 Np
0.0000 0.6839 0.9467 Mn
0.5000 0.3161 0.4467 Mn
0.0000 0.4416 0.0034 N
0.0000 0.6653 0.5783 N
0.2467 0.7965 0.0114 N
0.2533 0.2035 0.5114 N
0.5000 0.3347 0.0783 N
0.5000 0.5584 0.5034 N
0.7467 0.2035 0.5114 N
0.7533 0.7965 0.0114 N
```

Largest 8 diffraction maxima, in order of rising 2θ, 2θ from 10° to 80°:
| d_spacing | two_theta | Rel. int. |
| --- | --- | --- |
| 7.366 | 12.0 | 98.2 |
| 4.023 | 22.1 | 42.8 |
| 3.837 | 23.2 | 40.0 |
| 3.403 | 26.2 | 48.2 |
| 3.190 | 28.0 | 49.9 |
| 2.925 | 30.6 | 100.0 |
| 2.500 | 35.9 | 30.6 |
| 2.401 | 37.5 | 26.9 |

Record 14
Computed XRD peak list of Na3Np3MnN8 for Cu Kα X-rays, from the GGA-PBE geometry in Alexandria.
Peak positions follow from Bragg's law for the DFT cell and can differ from measured ones.

Atomic structure:
```
Na3Np3MnN8
1.0
3.3348 1.9253 5.6554
-3.3348 1.9253 5.6554
0.0000 -3.8507 5.6554
Na Np Mn N
3 3 1 8
direct
0.0000 0.5000 0.5000 Na
0.5000 0.0000 0.5000 Na
0.5000 0.5000 0.0000 Na
0.0000 0.0000 0.5000 Np
0.0000 0.5000 0.0000 Np
0.5000 0.0000 0.0000 Np
0.5000 0.5000 0.5000 Mn
0.2300 0.2300 0.2300 N
0.2321 0.7206 0.7206 N
0.2794 0.2794 0.7679 N
0.2794 0.7679 0.2794 N
0.7206 0.2321 0.7206 N
0.7206 0.7206 0.2321 N
0.7679 0.2794 0.2794 N
0.7700 0.7700 0.7700 N
```

Largest 8 diffraction maxima, in order of rising 2θ, 2θ from 10° to 80°:
| d_spacing | two_theta | Rel. int. |
| --- | --- | --- |
| 5.655 | 15.7 | 100.0 |
| 2.847 | 31.4 | 46.5 |
| 2.828 | 31.6 | 20.1 |
| 2.734 | 32.8 | 49.7 |
| 2.387 | 37.7 | 55.0 |
| 2.199 | 41.0 | 19.5 |
| 1.667 | 55.1 | 18.5 |
| 1.599 | 57.6 | 20.4 |